(1)
Structure and calculated X-ray diffraction stick pattern of MgRhO3 (a PBE-relaxed structure; Cu Kα (weighted mean of Kα1 and Kα2)).
Neutral-atom scattering factors, no anomalous dispersion.

Cell and atoms:
abc: 3.9002 3.9002 3.9002
angles: 90.00 90.00 90.00
Fractional positions:
Mg1 0.0000 0.0000 0.0000
Rh1 0.5000 0.5000 0.5000
O1 0.0000 0.5000 0.5000
O2 0.5000 0.0000 0.5000
O3 0.5000 0.5000 0.0000

Main lines, in order of rising 2θ (5 to 70 degrees two-theta):
d/Å	two_theta	I/Imax
3.900	22.8	91
2.758	32.5	100
2.252	40.0	3
1.950	46.6	43
1.744	52.5	34
1.592	57.9	39
1.379	68.0	24

=====

(2)
Structure and calculated X-ray diffraction stick pattern of MgSb2Rh2O8 (a PBE-relaxed structure; Cu Kα (weighted mean of Kα1 and Kα2)).
Neutral-atom scattering factors, no anomalous dispersion.

Cell and atoms:
abc: 6.2500 6.2500 6.1651
angles: 116.78 116.78 63.56
Fractional positions:
Mg1 0.0000 0.0000 0.0000
Sb1 0.3167 0.3167 0.5568
Sb2 0.7090 0.7090 0.2123
Rh1 0.2330 0.2330 0.9676
Rh2 0.7033 0.7033 0.7001
O1 0.0016 0.3758 0.1883
O2 0.0293 0.4156 0.7139
O3 0.3758 0.0016 0.1883
O4 0.4156 0.0293 0.7139
O5 0.5579 0.5579 0.8294
O6 0.5631 0.5631 0.3226
O7 0.8529 0.8529 0.0977
O8 0.8585 0.8585 0.6006

Main lines, in order of rising 2θ (5 to 70 degrees two-theta):
d/Å	two_theta	I/Imax
4.505	19.7	100
3.292	27.1	70
2.732	32.8	16
2.704	33.1	44
2.658	33.7	27
2.624	34.2	43
2.100	43.1	20
1.764	51.8	18
1.741	52.6	19
1.559	59.3	16

=====

(3)
Structure and calculated X-ray diffraction stick pattern of MgSb2Rh2O8 (a PBE-relaxed structure; Cu Kα (weighted mean of Kα1 and Kα2)).
Neutral-atom scattering factors, no anomalous dispersion.

Cell and atoms:
abc: 5.8991 5.8991 6.9403
angles: 124.50 124.50 65.32
Fractional positions:
Mg1 0.0000 0.0000 0.0000
Sb1 0.2988 0.2988 0.9593
Sb2 0.5907 0.5907 0.5722
Rh1 0.3048 0.3048 0.5738
Rh2 0.8423 0.8423 0.3552
O1 0.0260 0.0260 0.3041
O2 0.0259 0.5614 0.7700
O3 0.0299 0.0299 0.7430
O4 0.1574 0.5298 0.3659
O5 0.5298 0.1574 0.3659
O6 0.5614 0.0259 0.7700
O7 0.5906 0.5906 0.8579
O8 0.6135 0.6135 0.3051

Main lines, in order of rising 2θ (5 to 70 degrees two-theta):
d/Å	two_theta	I/Imax
5.135	17.3	33
4.812	18.4	25
3.183	28.0	100
2.927	30.5	57
2.860	31.3	44
2.845	31.4	49
2.783	32.2	51
2.286	39.4	37
2.173	41.6	27
1.592	57.9	32

=====

(4)
Structure and calculated X-ray diffraction stick pattern of MgSb2Rh2O8 (a PBE-relaxed structure; Cu Kα (weighted mean of Kα1 and Kα2)).
Neutral-atom scattering factors, no anomalous dispersion.

Cell and atoms:
abc: 5.8606 5.9142 5.9365
angles: 106.92 105.57 114.93
Fractional positions:
Mg1 0.0000 0.0000 0.0000
Sb1 0.5009 0.5034 0.5029
Sb2 0.7241 0.3019 0.0097
Rh1 0.0112 0.0074 0.5072
Rh2 0.2731 0.7194 0.0040
O1 0.0280 0.2784 0.8302
O2 0.0730 0.2776 0.3449
O3 0.4353 0.1773 0.1755
O4 0.4397 0.2361 0.6693
O5 0.5540 0.7916 0.8293
O6 0.5675 0.7417 0.3107
O7 0.9377 0.7150 0.6668
O8 0.9951 0.7330 0.1635

Main lines, in order of rising 2θ (5 to 70 degrees two-theta):
d/Å	two_theta	I/Imax
3.567	25.0	100
3.527	25.3	92
2.704	33.1	46
2.682	33.4	38
2.667	33.6	44
2.657	33.7	39
2.535	35.4	37
1.850	49.2	32
1.830	49.8	32
1.826	49.9	20